This entry pairs a crystal structure of Sr2PtAu with its calculated PXRD pattern. Radiation: copper Kα. Structure: the GGA-PBE geometry in the Materials Project.

Most intense lines, 10 to 80 degrees two-theta, in order of rising 2θ:
d [Å]	Position (°2θ)	Rel. int.
3.766	23.62	17
2.663	33.65	100
2.175	41.53	5
1.883	48.33	18
1.684	54.48	8
1.538	60.18	38
1.332	70.75	12
1.255	75.77	4

Atomic structure:
```
16
Lattice="7.5327 0.0000 0.0000 0.0000 7.5327 0.0000 0.0000 0.0000 7.5327" Properties=species:S:1:pos:R:3 pbc="T T T"
Sr 1.8832 1.8832 1.8832
Sr 1.8832 1.8832 5.6495
Sr 1.8832 5.6495 1.8832
Sr 1.8832 5.6495 5.6495
Sr 5.6495 1.8832 1.8832
Sr 5.6495 1.8832 5.6495
Sr 5.6495 5.6495 1.8832
Sr 5.6495 5.6495 5.6495
Pt 0.0000 0.0000 0.0000
Pt 0.0000 3.7664 3.7664
Pt 3.7664 0.0000 3.7664
Pt 3.7664 3.7664 0.0000
Au 0.0000 0.0000 3.7664
Au 0.0000 3.7664 0.0000
Au 3.7664 0.0000 0.0000
Au 3.7664 3.7664 3.7664
```

---

This entry pairs a crystal structure of Sr2PtAu with its calculated PXRD pattern. Radiation: copper Kα. Structure: the GGA-PBE geometry in the Materials Project.

Most intense lines, 10 to 80 degrees two-theta, in order of rising 2θ:
d [Å]	Position (°2θ)	Rel. int.
5.725	15.48	25
4.072	21.82	32
3.051	29.28	57
2.867	31.20	22
2.435	36.92	100
2.302	39.13	22
2.179	41.45	18
1.622	56.74	17
1.582	58.31	14
1.531	60.46	12
1.353	69.45	16
1.275	74.41	13

Atomic structure:
```
8
Lattice="4.6046 0.0000 0.0000 0.0000 4.3574 0.0000 0.0000 0.0000 11.4491" Properties=species:S:1:pos:R:3 pbc="T T T"
Sr 0.0000 0.0000 0.0000
Sr 0.0000 2.1787 5.7245
Sr 2.3023 0.0000 3.1827
Sr 2.3023 2.1787 8.9073
Pt 0.0000 0.0000 8.1823
Pt 0.0000 2.1787 2.4577
Au 2.3023 0.0000 6.4612
Au 2.3023 2.1787 0.7366
```

---

This entry pairs a crystal structure of UPt4Au with its calculated PXRD pattern. Radiation: copper Kα. Structure: the GGA-PBE geometry in the Materials Project.

Most intense lines, 10 to 80 degrees two-theta, in order of rising 2θ:
d [Å]	Position (°2θ)	Rel. int.
4.360	20.37	3
2.670	33.57	30
2.277	39.58	100
2.180	41.42	37
1.888	48.21	4
1.732	52.85	1
1.541	60.02	12
1.453	64.08	33
1.335	70.56	29

Atomic structure:
```
6
Lattice="0.0000 3.7755 3.7755 3.7755 0.0000 3.7755 3.7755 3.7755 0.0000" Properties=species:S:1:pos:R:3 pbc="T T T"
U 0.0000 0.0000 0.0000
Pt 2.8344 2.8344 2.8344
Pt 4.7166 4.7166 2.8344
Pt 4.7166 2.8344 4.7166
Pt 2.8344 4.7166 4.7166
Au 5.6632 5.6632 5.6632
```

---

This entry pairs a crystal structure of Pu2SbAu with its calculated PXRD pattern. Radiation: copper Kα. Structure: the GGA-PBE geometry in the Materials Project.

Most intense lines, 10 to 80 degrees two-theta, in order of rising 2θ:
d [Å]	Position (°2θ)	Rel. int.
4.288	20.72	2
3.713	23.96	4
2.626	34.15	100
2.239	40.28	1
2.144	42.15	1
1.857	49.07	18
1.704	53.80	1
1.661	55.32	2
1.516	61.13	38
1.313	71.92	12
1.238	77.04	1

Atomic structure:
```
16
Lattice="7.4267 0.0000 0.0000 0.0000 7.4267 0.0000 0.0000 0.0000 7.4267" Properties=species:S:1:pos:R:3 pbc="T T T"
Pu 1.8567 1.8567 1.8567
Pu 1.8567 1.8567 5.5700
Pu 1.8567 5.5700 1.8567
Pu 1.8567 5.5700 5.5700
Pu 5.5700 1.8567 1.8567
Pu 5.5700 1.8567 5.5700
Pu 5.5700 5.5700 1.8567
Pu 5.5700 5.5700 5.5700
Sb 0.0000 0.0000 0.0000
Sb 0.0000 3.7134 3.7134
Sb 3.7134 0.0000 3.7134
Sb 3.7134 3.7134 0.0000
Au 0.0000 0.0000 3.7134
Au 0.0000 3.7134 0.0000
Au 3.7134 0.0000 0.0000
Au 3.7134 3.7134 3.7134
```

---

This entry pairs a crystal structure of PuSi2Au2 with its calculated PXRD pattern. Radiation: copper Kα. Structure: the GGA-PBE geometry in the Materials Project.

Most intense lines, 10 to 80 degrees two-theta, in order of rising 2θ:
d [Å]	Position (°2θ)	Rel. int.
3.967	22.41	24
2.686	33.35	18
2.618	34.25	100
2.582	34.75	20
2.148	42.07	33
1.861	48.93	7
1.678	54.71	9
1.651	55.66	21
1.519	61.00	11
1.498	61.97	17
1.314	71.86	24
1.309	72.15	10

Atomic structure:
```
10
Lattice="4.2960 0.0000 0.0000 0.0000 4.2960 0.0000 0.0000 0.0000 10.3273" Properties=species:S:1:pos:R:3 pbc="T T T"
Pu 0.0000 0.0000 0.0000
Pu 2.1480 2.1480 5.1637
Si 0.0000 0.0000 4.0089
Si 0.0000 0.0000 6.3184
Si 2.1480 2.1480 1.1548
Si 2.1480 2.1480 9.1726
Au 0.0000 2.1480 2.5818
Au 0.0000 2.1480 7.7455
Au 2.1480 0.0000 2.5818
Au 2.1480 0.0000 7.7455
```

---

This entry pairs a crystal structure of RbAuS with its calculated PXRD pattern. Radiation: copper Kα. Structure: the GGA-PBE geometry in the Materials Project.

Most intense lines, 10 to 80 degrees two-theta, in order of rising 2θ:
d [Å]	Position (°2θ)	Rel. int.
5.199	17.06	72
4.081	21.78	28
3.540	25.16	21
3.371	26.44	60
2.931	30.50	100
2.678	33.46	31
2.599	34.51	18
2.523	35.58	29
2.097	43.14	31
2.056	44.03	17
1.849	49.27	27
1.567	58.96	21

Atomic structure:
```
12
Lattice="6.7430 0.0000 0.0000 0.0000 8.1627 0.0000 0.0000 0.0000 7.0979" Properties=species:S:1:pos:R:3 pbc="T T T"
Rb 0.0000 1.0159 1.7745
Rb 0.0000 7.1468 5.3235
Rb 3.3715 3.0655 5.3235
Rb 3.3715 5.0972 1.7745
Au 0.0000 4.0813 0.0000
Au 0.0000 4.0813 3.5490
Au 3.3715 0.0000 0.0000
Au 3.3715 0.0000 3.5490
S 0.0000 2.5608 5.3235
S 0.0000 5.6019 1.7745
S 3.3715 1.5206 1.7745
S 3.3715 6.6421 5.3235
```

---

This entry pairs a crystal structure of Rb3Sb2Au3 with its calculated PXRD pattern. Radiation: copper Kα. Structure: the GGA-PBE geometry in the Materials Project.

Most intense lines, 10 to 80 degrees two-theta, in order of rising 2θ:
d [Å]	Position (°2θ)	Rel. int.
7.345	12.05	100
5.108	17.36	39
3.501	25.44	39
3.032	29.46	27
2.859	31.29	59
2.789	32.09	35
2.763	32.41	27
2.554	35.13	71
2.466	36.43	50
1.991	45.55	33
1.664	55.18	33
1.233	77.39	24

Atomic structure:
```
8
Lattice="3.3289 1.9219 7.3446 -3.3289 1.9219 7.3446 0.0000 -3.8439 7.3446" Properties=species:S:1:pos:R:3 pbc="T T T"
Rb 0.0000 0.0000 0.0000
Rb 0.0000 0.0000 9.2149
Rb 0.0000 0.0000 12.8188
Sb 0.0000 0.0000 5.5584
Sb 0.0000 0.0000 16.4754
Au -3.3289 0.0000 11.0169
Au -1.6644 0.9610 3.6723
Au 1.6645 0.9610 3.6723
```